Simulated powder X-ray diffraction pattern
Compound: Ac2Mg3Sn4
Radiation: Cu Kα (weighted mean of Kα1 and Kα2)
Structure: a crystal structure in Alexandria, relaxed with GGA-PBE
Intensities are scaled so that the largest is 100.

Atomic structure:
```
Ac2Mg3Sn4
1.0
3.320 -8.645 0.000
3.320 8.645 0.000
0.000 0.000 8.859
Ac Mg Sn
4 6 8
direct
0.114 0.886 0.915
0.386 0.614 0.415
0.614 0.386 0.585
0.886 0.114 0.085
0.000 0.000 0.500
0.035 0.465 0.750
0.465 0.035 0.250
0.500 0.500 0.000
0.535 0.965 0.750
0.965 0.535 0.250
0.187 0.813 0.546
0.202 0.298 0.750
0.298 0.202 0.250
0.313 0.687 0.046
0.687 0.313 0.954
0.702 0.798 0.750
0.798 0.702 0.250
0.813 0.187 0.454
```

The 6 most intense peaks (10° ≤ 2θ ≤ 80°), by angle:
d = 5.079 Å, I = 32; d = 3.104 Å, I = 59; d = 2.925 Å, I = 56; d = 2.898 Å, I = 100; d = 2.794 Å, I = 71; d = 2.656 Å, I = 64